This entry pairs a crystal structure of ErP12Ru4 with its calculated powder diffractogram. Radiation: Cu Kα (λ = 1.5418 Å). Structure: the GGA-PBE geometry in Alexandria.

Most intense lines, 2θ from 15° to 90°, most intense first:
- 31.34°, I 100
- 55.79°, I 54
- 35.15°, I 47
- 41.87°, I 36
- 58.28°, I 24
- 15.52°, I 24
- 50.56°, I 23
- 74.31°, I 21
- 44.91°, I 15
- 22.02°, I 14
- 27.06°, I 14
- 82.85°, I 11

Crystal structure
```
data_ErP12Ru4
_chemical_formula_sum 'Er1 P12 Ru4'
_cell_length_a 6.9912
_cell_length_b 6.9912
_cell_length_c 6.9912
_cell_angle_alpha 109.47
_cell_angle_beta 109.47
_cell_angle_gamma 109.47
_symmetry_space_group_name_H-M 'P 1'
_symmetry_Int_Tables_number 1
loop_
_symmetry_equiv_pos_as_xyz
'x,y,z'
loop_
_atom_site_label
_atom_site_type_symbol
_atom_site_fract_x
_atom_site_fract_y
_atom_site_fract_z
Er1 Er 0.0000 0.0000 0.0000
P1 P 0.1426 0.3567 0.4993
P2 P 0.1426 0.6433 0.7858
P3 P 0.2142 0.8574 0.3567
P4 P 0.3567 0.2142 0.8574
P5 P 0.3567 0.4993 0.1426
P6 P 0.4993 0.1426 0.3567
P7 P 0.5007 0.8574 0.6433
P8 P 0.6433 0.5007 0.8574
P9 P 0.6433 0.7858 0.1426
P10 P 0.7858 0.1426 0.6433
P11 P 0.8574 0.3567 0.2142
P12 P 0.8574 0.6433 0.5007
Ru1 Ru 0.0000 0.0000 0.5000
Ru2 Ru 0.0000 0.5000 0.0000
Ru3 Ru 0.5000 0.0000 0.0000
Ru4 Ru 0.5000 0.5000 0.5000
```